The following is a theoretical powder diffractogram of K2Ga7Ag. It was derived from a DFT-relaxed cell (PBE, Alexandria), using Cu Kα (weighted mean of Kα1 and Kα2).
Intensities are scaled so that the largest is 100.

Peak list (10 most intense, 2θ = 15–90°, most intense first)
| (hkl) | 2θ/deg | I_rel |
| --- | --- | --- |
| 1 1 2 | 32.2 | 100.0 |
| 2 0 0 | 39.7 | 74.0 |
| 1 1 4 | 43.2 | 69.0 |
| 1 0 3 | 31.3 | 41.6 |
| 0 0 2 | 16.0 | 37.0 |
| 1 0 1 | 21.1 | 28.1 |
| 3 1 4 | 74.4 | 26.4 |
| 2 2 0 | 57.4 | 24.0 |
| 3 1 2 | 67.3 | 21.4 |
| 1 0 5 | 45.6 | 20.3 |

Atomic structure:
abc: 4.5436 4.5436 11.0506
angles: 90.00 90.00 90.00
Element x y z (fractional)
K (0.0000, 0.5000, 0.2494)
K (0.5000, 0.0000, 0.7506)
Ga (0.0000, 0.0000, 0.0000)
Ga (0.0000, 0.5000, 0.6299)
Ga (0.0000, 0.5000, 0.8687)
Ga (0.5000, 0.0000, 0.1313)
Ga (0.5000, 0.0000, 0.3701)
Ga (0.5000, 0.5000, 0.0000)
Ga (0.5000, 0.5000, 0.5000)
Ag (0.0000, 0.0000, 0.5000)